Calculated powder diffraction line list
Compound: ZnH2PtRh
Radiation: Cu Kα
Structure: the PBE geometry in Alexandria

Largest 10 diffraction maxima, sorted by position, 15 to 90 degrees two-theta:
d_spacing  2θ/deg  I_rel
5.387  16.45  11
2.931  30.50  28
2.694  33.26  12
2.323  38.76  100
2.154  41.95  46
1.759  51.98  9
1.682  54.55  13
1.523  60.82  15
1.379  67.97  12
1.274  74.50  29

Structural model:
Cell lengths 3.0458, 3.0458, 10.7745 Å; angles 90.00, 90.00, 90.00 degrees
Space group I4mm (No. 107)
One atom of each set of equivalent atoms:
1 Zn 0.0000 0.0000 0.0000
2 H 0.0000 0.5000 0.2353
3 Pt 0.0000 0.0000 0.3559
4 Rh 0.0000 0.0000 0.6423